[1]
Starting from a structure optimized by DFT (GGA-PBE), the PXRD pattern of Y2Ti2O7 was calculated for Cu Kα (weighted mean of Kα1 and Kα2).

Principal peaks in the range 10 to 90 degrees two-theta, low angle first:
Position (°2θ)	I_rel
15.06	8
30.39	100
35.24	21
38.52	14
50.69	52
60.26	39
63.24	8
74.51	7
82.55	15
85.19	11

a = 7.2040 Å, b = 7.2040 Å, c = 7.2040 Å
α = 60.00°, β = 60.00°, γ = 60.00°
Fractional coordinates of all 22 atoms:
Y1 0.0000 0.0000 0.0000
Y2 0.0000 0.0000 0.5000
Y3 0.0000 0.5000 0.0000
Y4 0.5000 0.0000 0.0000
Ti1 0.0000 0.5000 0.5000
Ti2 0.5000 0.0000 0.5000
Ti3 0.5000 0.5000 0.0000
Ti4 0.5000 0.5000 0.5000
O1 0.1250 0.1250 0.1250
O2 0.1704 0.1704 0.5796
O3 0.1704 0.5796 0.1704
O4 0.1704 0.5796 0.5796
O5 0.4204 0.4204 0.8296
O6 0.4204 0.8296 0.4204
O7 0.4204 0.8296 0.8296
O8 0.5796 0.1704 0.1704
O9 0.5796 0.1704 0.5796
O10 0.5796 0.5796 0.1704
O11 0.8296 0.4204 0.4204
O12 0.8296 0.4204 0.8296
O13 0.8296 0.8296 0.4204
O14 0.8750 0.8750 0.8750

=====

[2]
Starting from a structure optimized by DFT (GGA-PBE), the PXRD pattern of Y2Ti2O7 was calculated for Cu Kα (weighted mean of Kα1 and Kα2).

Principal peaks in the range 10 to 90 degrees two-theta, low angle first:
Position (°2θ)	I_rel
28.47	99
29.21	100
29.74	75
30.36	82
34.18	27
34.65	27
47.08	31
49.40	24
49.52	25
50.24	22

a = 7.3659 Å, b = 7.3974 Å, c = 10.6968 Å
α = 86.14°, β = 88.88°, γ = 89.18°
Fractional coordinates of all 44 atoms:
Y1 0.0000 0.0000 0.0000
Y2 0.0240 0.9655 0.4949
Y3 0.2414 0.7315 0.2526
Y4 0.3060 0.1855 0.7314
Y5 0.4915 0.9631 0.0178
Y6 0.5307 0.4698 0.4957
Y7 0.7371 0.2253 0.2437
Y8 0.8177 0.6679 0.7353
Ti1 0.0301 0.4455 0.4750
Ti2 0.2522 0.6941 0.8155
Ti3 0.2769 0.2495 0.2055
Ti4 0.5368 0.9150 0.5079
Ti5 0.5548 0.4730 0.9531
Ti6 0.7174 0.7004 0.2143
Ti7 0.7722 0.1817 0.7343
Ti8 0.9937 0.5080 0.0550
O1 0.0064 0.1685 0.8102
O2 0.0210 0.6598 0.9082
O3 0.0418 0.2452 0.3640
O4 0.0582 0.6914 0.4189
O5 0.1267 0.7202 0.6802
O6 0.2121 0.4859 0.1494
O7 0.2353 0.0034 0.1564
O8 0.2354 0.3938 0.5600
O9 0.2599 0.9291 0.8840
O10 0.3120 0.0059 0.5607
O11 0.3358 0.4467 0.8530
O12 0.4362 0.2775 0.3277
O13 0.4633 0.7640 0.3874
O14 0.4744 0.2595 0.0799
O15 0.4939 0.7072 0.1416
O16 0.5584 0.7112 0.8906
O17 0.5679 0.2385 0.6270
O18 0.5755 0.7079 0.6139
O19 0.6173 0.0782 0.8488
O20 0.7295 0.4101 0.8479
O21 0.7336 0.0126 0.4056
O22 0.7400 0.9657 0.1360
O23 0.7425 0.5024 0.0954
O24 0.7448 0.5121 0.3401
O25 0.8316 0.9647 0.6496
O26 0.8594 0.4286 0.6010
O27 0.9707 0.7216 0.1503
O28 0.9872 0.2549 0.0908

=====

[3]
Starting from a structure optimized by DFT (GGA-PBE), the PXRD pattern of YTiO3 was calculated for Cu Kα (weighted mean of Kα1 and Kα2).

Principal peaks in the range 10 to 90 degrees two-theta, low angle first:
Position (°2θ)	I_rel
25.57	22
31.29	18
32.66	100
33.49	33
46.50	20
47.20	16
48.07	13
52.33	19
59.13	11
59.39	28

a = 5.7176 Å, b = 7.7020 Å, c = 5.3477 Å
α = 90.00°, β = 90.00°, γ = 90.00°
Fractional coordinates of all 20 atoms:
Y1 0.0715 0.2500 0.0222
Y2 0.4285 0.7500 0.5222
Y3 0.5715 0.2500 0.4778
Y4 0.9285 0.7500 0.9778
Ti1 0.0000 0.0000 0.5000
Ti2 0.0000 0.5000 0.5000
Ti3 0.5000 0.0000 0.0000
Ti4 0.5000 0.5000 0.0000
O1 0.0453 0.7500 0.3795
O2 0.1981 0.5578 0.8095
O3 0.1981 0.9422 0.8095
O4 0.3019 0.0578 0.3095
O5 0.3019 0.4422 0.3095
O6 0.4547 0.2500 0.8795
O7 0.5453 0.7500 0.1205
O8 0.6981 0.5578 0.6905
O9 0.6981 0.9422 0.6905
O10 0.8019 0.0578 0.1905
O11 0.8019 0.4422 0.1905
O12 0.9547 0.2500 0.6205

=====

[4]
Starting from a structure optimized by DFT (GGA-PBE), the PXRD pattern of YTiO3 was calculated for Cu Kα (weighted mean of Kα1 and Kα2).

Principal peaks in the range 10 to 90 degrees two-theta, low angle first:
Position (°2θ)	I_rel
14.74	23
29.32	41
29.73	42
30.27	53
32.96	100
42.24	37
51.99	55
54.85	23
61.04	30
62.95	16

a = 6.0930 Å, b = 6.0930 Å, c = 12.0189 Å
α = 90.00°, β = 90.00°, γ = 120.00°
Fractional coordinates of all 30 atoms:
Y1 0.0000 0.0000 0.0000
Y2 0.0000 0.0000 0.5000
Y3 0.3333 0.6667 0.4522
Y4 0.3333 0.6667 0.9522
Y5 0.6667 0.3333 0.4522
Y6 0.6667 0.3333 0.9522
Ti1 0.0000 0.3343 0.2219
Ti2 0.0000 0.6657 0.7219
Ti3 0.3343 0.0000 0.2219
Ti4 0.3343 0.3343 0.7219
Ti5 0.6657 0.0000 0.7219
Ti6 0.6657 0.6657 0.2219
O1 0.0000 0.0000 0.1970
O2 0.0000 0.0000 0.6970
O3 0.0000 0.3051 0.3861
O4 0.0000 0.3606 0.0585
O5 0.0000 0.6394 0.5585
O6 0.0000 0.6949 0.8861
O7 0.3051 0.0000 0.3861
O8 0.3051 0.3051 0.8861
O9 0.3333 0.6667 0.2411
O10 0.3333 0.6667 0.7411
O11 0.3606 0.0000 0.0585
O12 0.3606 0.3606 0.5585
O13 0.6394 0.0000 0.5585
O14 0.6394 0.6394 0.0585
O15 0.6667 0.3333 0.2411
O16 0.6667 0.3333 0.7411
O17 0.6949 0.0000 0.8861
O18 0.6949 0.6949 0.3861

=====

[5]
Starting from a structure optimized by DFT (GGA-PBE), the PXRD pattern of YTiO3 was calculated for Cu Kα (weighted mean of Kα1 and Kα2).

Principal peaks in the range 10 to 90 degrees two-theta, low angle first:
Position (°2θ)	I_rel
22.84	5
32.53	100
40.12	21
46.66	40
52.57	3
58.03	37
68.13	22
77.54	15
82.11	6
86.63	7

a = 3.8930 Å, b = 3.8930 Å, c = 3.8930 Å
α = 90.00°, β = 90.00°, γ = 90.00°
Fractional coordinates of all 5 atoms:
Y1 0.0000 0.0000 0.0000
Ti1 0.5000 0.5000 0.5000
O1 0.0000 0.5000 0.5000
O2 0.5000 0.0000 0.5000
O3 0.5000 0.5000 0.0000

=====

[6]
Starting from a structure optimized by DFT (GGA-PBE), the PXRD pattern of YTiO3 was calculated for Cu Kα (weighted mean of Kα1 and Kα2).

Principal peaks in the range 10 to 90 degrees two-theta, low angle first:
Position (°2θ)	I_rel
14.63	25
29.28	38
29.50	52
30.22	51
32.88	100
42.05	52
51.92	53
54.52	37
60.85	36
84.38	18

a = 3.5220 Å, b = 3.5220 Å, c = 12.1108 Å
α = 90.00°, β = 90.00°, γ = 120.00°
Fractional coordinates of all 10 atoms:
Y1 0.0000 0.0000 0.0000
Y2 0.0000 0.0000 0.5000
Ti1 0.3333 0.6667 0.2500
Ti2 0.6667 0.3333 0.7500
O1 0.0000 0.0000 0.2500
O2 0.0000 0.0000 0.7500
O3 0.3333 0.6667 0.0858
O4 0.3333 0.6667 0.4142
O5 0.6667 0.3333 0.5858
O6 0.6667 0.3333 0.9142

=====

[7]
Starting from a structure optimized by DFT (GGA-PBE), the PXRD pattern of Y2Ti2O7 was calculated for Cu Kα (weighted mean of Kα1 and Kα2).

Principal peaks in the range 10 to 90 degrees two-theta, low angle first:
Position (°2θ)	I_rel
18.76	13
25.35	14
29.18	100
30.30	34
33.40	18
34.54	24
48.03	16
49.57	18
50.28	10
58.51	14

a = 7.2643 Å, b = 7.4358 Å, c = 10.7406 Å
α = 90.00°, β = 92.37°, γ = 90.00°
Fractional coordinates of all 44 atoms:
Y1 0.0000 0.0000 0.0000
Y2 0.0000 0.1437 0.5000
Y3 0.2144 0.7652 0.2632
Y4 0.2457 0.2977 0.7723
Y5 0.5000 0.0843 0.5000
Y6 0.5000 0.5229 0.0000
Y7 0.7543 0.2977 0.2277
Y8 0.7856 0.7652 0.7368
Ti1 0.0000 0.5545 0.0000
Ti2 0.0000 0.5655 0.5000
Ti3 0.2324 0.8255 0.7499
Ti4 0.2490 0.2844 0.2288
Ti5 0.5000 0.6774 0.5000
Ti6 0.5000 0.9635 0.0000
Ti7 0.7510 0.2844 0.7712
Ti8 0.7676 0.8255 0.2501
O1 0.0392 0.7861 0.6306
O2 0.0482 0.7608 0.8813
O3 0.0539 0.3927 0.6173
O4 0.1016 0.0957 0.1838
O5 0.1556 0.5029 0.1813
O6 0.1910 0.4094 0.9580
O7 0.2501 0.0731 0.6343
O8 0.2650 0.5951 0.4551
O9 0.2847 0.2163 0.3920
O10 0.2895 0.0199 0.8867
O11 0.3444 0.6106 0.7729
O12 0.3729 0.8012 0.0845
O13 0.4627 0.2854 0.1439
O14 0.4899 0.8396 0.3720
O15 0.5101 0.8396 0.6280
O16 0.5373 0.2854 0.8561
O17 0.6271 0.8012 0.9155
O18 0.6556 0.6106 0.2271
O19 0.7105 0.0199 0.1133
O20 0.7153 0.2163 0.6080
O21 0.7350 0.5951 0.5449
O22 0.7499 0.0731 0.3657
O23 0.8090 0.4094 0.0420
O24 0.8444 0.5029 0.8187
O25 0.8984 0.0957 0.8162
O26 0.9461 0.3927 0.3827
O27 0.9518 0.7608 0.1187
O28 0.9608 0.7861 0.3694